Record 1
Structure and simulated X-ray diffraction stick pattern of Dy5CuPb3 (DFT lattice parameters and positions (GGA-PBE); λ = 1.5418 Å (Cu Kα)).

Cell and atoms:
Cell lengths 9.2264, 9.2264, 6.6244 Å; angles 90.00, 90.00, 120.00 degrees
Space group P6_3/mcm (No. 193)
One atom of each set of equivalent atoms:
Dy: 0.0000 0.2577 0.2500 (multiplicity 6)
Dy: 0.3333 0.6667 0.0000 (multiplicity 4)
Cu: 0.0000 0.0000 0.0000 (multiplicity 2)
Pb: 0.0000 0.3860 0.7500 (multiplicity 6)

Most intense lines, 2θ from 15° to 90°, by angle:
| hkl | two_theta | I/Imax |
| --- | --- | --- |
| 2 1 1 | 32.6 | 87 |
| 1 1 2 | 33.3 | 100 |
| 3 0 0 | 33.6 | 71 |
| 3 1 1 | 43.0 | 21 |
| 2 2 2 | 48.1 | 24 |
| 2 1 3 | 51.3 | 25 |

=====

Record 2
Structure and simulated X-ray diffraction stick pattern of DyCuPbS3 (DFT lattice parameters and positions (GGA-PBE); λ = 1.5418 Å (Cu Kα)).

Cell and atoms:
Cell lengths 3.9295, 13.0896, 10.2175 Å; angles 90.00, 90.00, 90.00 degrees
Space group Cmc2_1 (No. 36)
One atom of each set of equivalent atoms:
Dy: 0.0000 0.0034 0.0000 (multiplicity 4)
Cu: 0.0000 0.4676 0.7488 (multiplicity 4)
Pb: 0.0000 0.2521 0.2756 (multiplicity 4)
S: 0.0000 0.0737 0.7480 (multiplicity 4)
S: 0.0000 0.3618 0.5649 (multiplicity 4)
S: 0.0000 0.3640 0.9323 (multiplicity 4)

Most intense lines, 2θ from 15° to 90°, by angle:
| hkl | two_theta | I/Imax |
| --- | --- | --- |
| 0 2 2 | 22.1 | 100 |
| 1 1 1 | 25.2 | 47 |
| 0 4 0 | 27.3 | 47 |
| 1 3 1 | 31.9 | 96 |
| 1 3 2 | 35.4 | 49 |
| 0 6 2 | 45.2 | 58 |